Computed X-ray diffraction stick pattern
Compound: Fe3P4O14
Radiation: Cu Kα (weighted mean of Kα1 and Kα2)
Structure: a crystal structure in the Materials Project, relaxed with GGA+U
Kinematic intensities with the Lorentz-polarization factor, no thermal factor.

Most intense lines, 10 to 80 degrees two-theta, sorted by position:
hkl	2θ/deg	I_rel
0 0 1	12.1	24
0 1 0	13.7	93
0 1 -1	19.6	89
0 1 2	26.2	90
1 -1 1	26.8	100
1 2 2	32.4	41
2 1 0	32.7	56
1 2 -1	33.6	46
2 0 2	37.9	22
1 3 4	57.6	26

Cell and atoms:
```
data_Fe3P4O14
_chemical_formula_sum 'Fe3 P4 O14'
_cell_length_a 5.696
_cell_length_b 6.859
_cell_length_c 7.606
_cell_angle_alpha 78.00
_cell_angle_beta 76.30
_cell_angle_gamma 72.24
_symmetry_space_group_name_H-M 'P 1'
_symmetry_Int_Tables_number 1
_symmetry_space_group_name_Hall 'P 1'
loop_
_atom_site_label
_atom_site_type_symbol
_atom_site_fract_x
_atom_site_fract_y
_atom_site_fract_z
_atom_site_occupancy
Fe1 Fe 0.000 0.000 0.000 1
Fe2 Fe 0.188 0.515 0.318 1
Fe3 Fe 0.478 0.970 0.670 1
P1 P 0.036 0.786 0.651 1
P2 P 0.453 0.192 0.002 1
P3 P 0.612 0.780 0.272 1
P4 P 0.853 0.188 0.399 1
O1 O 0.026 0.965 0.478 1
O2 O 0.154 0.588 0.569 1
O3 O 0.191 0.836 0.772 1
O4 O 0.300 0.135 0.882 1
O5 O 0.305 0.377 0.098 1
O6 O 0.477 0.997 0.167 1
O7 O 0.491 0.625 0.238 1
O8 O 0.564 0.805 0.472 1
O9 O 0.581 0.201 0.505 1
O10 O 0.709 0.194 0.890 1
O11 O 0.770 0.806 0.767 1
O12 O 0.885 0.183 0.200 1
O13 O 0.902 0.739 0.194 1
O14 O 0.962 0.347 0.444 1
```

---

Computed X-ray diffraction stick pattern
Compound: FeP2O7
Radiation: Cu Kα (weighted mean of Kα1 and Kα2)
Structure: a crystal structure in the Materials Project, relaxed with GGA+U
Kinematic intensities with the Lorentz-polarization factor, no thermal factor.

Most intense lines, 10 to 80 degrees two-theta, sorted by position:
hkl	2θ/deg	I_rel
0 1 1	17.0	100
1 1 0	21.5	24
1 1 -1	22.3	38
0 2 1	25.4	13
1 0 1	25.8	13
1 1 1	28.1	22
0 1 2	28.7	13
1 2 -1	29.2	47
1 1 -2	29.7	21
0 2 2	34.5	11

Cell and atoms:
```
data_FeP2O7
_chemical_formula_sum 'Fe2 P4 O14'
_cell_length_a 4.990
_cell_length_b 8.211
_cell_length_c 7.038
_cell_angle_alpha 90.00
_cell_angle_beta 106.94
_cell_angle_gamma 90.00
_symmetry_space_group_name_H-M 'P 1 21 1'
_symmetry_Int_Tables_number 4
_symmetry_space_group_name_Hall 'P 2yb'
loop_
_atom_site_label
_atom_site_type_symbol
_atom_site_fract_x
_atom_site_fract_y
_atom_site_fract_z
_atom_site_occupancy
Fe1 Fe 0.213 0.000 0.226 1
P1 P 0.239 0.267 0.601 1
P2 P 0.387 0.678 0.013 1
O1 O 0.013 0.826 0.336 1
O2 O 0.145 0.170 0.410 1
O3 O 0.158 0.548 0.973 1
O4 O 0.269 0.849 0.014 1
O5 O 0.413 0.140 0.766 1
O6 O 0.432 0.410 0.587 1
O7 O 0.437 0.167 0.132 1
```